# GdCo5
Computed PXRD pattern, a wavelength of 1.5418 Å. Input: a GGA-PBE-relaxed structure.

Structure:
```
GdCo5
1.0
4.940 0.000 0.000
-2.470 4.279 0.000
0.000 0.000 3.943
Gd Co
1 5
Direct
0.000 0.000 0.000
0.000 0.500 0.500
0.333 0.667 0.000
0.500 0.000 0.500
0.500 0.500 0.500
0.667 0.333 0.000
```

Top 6 peaks for 2θ = 10–90°, low angle first:
(1 0 1), 30.84 deg, intensity 52; (1 1 0), 36.37 deg, intensity 33; (2 0 0), 42.25 deg, intensity 36; (1 1 1), 43.22 deg, intensity 100; (0 0 2), 46.04 deg, intensity 26; (3 0 1), 70.17 deg, intensity 22